Simulated powder XRD pattern of Mg17Al11Cd for Cu Kα X-rays, from DFT lattice parameters and positions (PBE).
No peak broadening, texture or thermal motion is included.

Main lines, by angle (10 to 80 degrees two-theta):
2θ 11.82, rel. 41, (0 0 1); 2θ 20.50, rel. 19, (2 0 0); 2θ 20.63, rel. 22, (1 3 0); 2θ 33.89, rel. 17, (0 4 2); 2θ 35.95, rel. 94, (1 3 -3); 2θ 36.07, rel. 100, (4 2 -2); 2θ 39.80, rel. 27, (3 1 1); 2θ 40.12, rel. 38, (3 5 -2); 2θ 43.57, rel. 17, (4 2 -4); 2θ 43.68, rel. 21, (4 4 -1)

Structure:
```
data_Mg17Al11Cd
_space_group_name_H-M_alt 'C 1 m 1'
_space_group_IT_number 8
_cell_length_a 10.5727
_cell_length_b 14.8826
_cell_length_c 9.1887
_cell_angle_alpha 90.00
_cell_angle_beta 125.03
_cell_angle_gamma 90.00
loop_
_space_group_symop_operation_xyz
'x,y,z'
'x,-y,z'
'x+1/2,y+1/2,z'
'x+1/2,-y+1/2,z'
loop_
_atom_site_label
_atom_site_type_symbol
_atom_site_fract_x
_atom_site_fract_y
_atom_site_fract_z
_atom_site_occupancy
Mg1 Mg 0.0000 0.0000 0.0000 1
Mg2 Mg 0.0014 0.3418 0.9447 1
Mg3 Mg 0.0136 0.3266 0.3406 1
Mg4 Mg 0.0325 0.0000 0.6302 1
Mg5 Mg 0.1451 0.1991 0.6585 1
Mg6 Mg 0.2413 0.5000 0.0558 1
Mg7 Mg 0.3032 0.3558 0.3416 1
Mg8 Mg 0.3289 0.3014 0.0262 1
Mg9 Mg 0.3414 0.0000 0.3417 1
Mg10 Mg 0.3434 0.0000 0.6859 1
Mg11 Mg 0.4009 0.3411 0.7425 1
Al1 Al 0.0230 0.5000 0.1505 1
Al2 Al 0.0672 0.0908 0.3420 1
Al3 Al 0.1154 0.4066 0.7125 1
Al4 Al 0.1598 0.1827 0.1576 1
Al5 Al 0.2496 0.0932 0.9751 1
Al6 Al 0.3440 0.1830 0.5267 1
Cd1 Cd 0.2147 0.5000 0.5216 1
```